Entry 1:
# CsB2Rh
Simulated powder diffractogram, Cu Kα (weighted mean of Kα1 and Kα2). Input: a cell relaxed with PBE.

Top 10 peaks for 15 to 90 degrees two-theta, in order of rising 2θ:
| two_theta | I/Imax |
| --- | --- |
| 27.80 | 100 |
| 39.63 | 6 |
| 39.77 | 11 |
| 49.18 | 40 |
| 57.40 | 9 |
| 57.50 | 5 |
| 64.84 | 6 |
| 65.05 | 12 |
| 78.83 | 7 |
| 78.98 | 13 |

Structure:
```
CsB2Rh
1.0
-3.205 3.205 4.549
3.205 -3.205 4.549
3.205 3.205 -4.549
Cs B Rh
2 4 2
Direct
0.375 0.625 0.750
0.625 0.375 0.250
0.000 0.000 0.000
0.000 0.000 0.500
0.000 0.500 0.000
0.500 0.000 0.500
0.125 0.875 0.250
0.875 0.125 0.750
```

***

Entry 2:
# Sc2AlTe6
Simulated powder diffractogram, Cu Kα (weighted mean of Kα1 and Kα2). Input: a cell relaxed with PBE.

Top 10 peaks for 15 to 90 degrees two-theta, in order of rising 2θ:
| two_theta | I/Imax |
| --- | --- |
| 26.44 | 31 |
| 28.35 | 100 |
| 29.63 | 31 |
| 36.72 | 19 |
| 37.75 | 19 |
| 43.17 | 13 |
| 45.82 | 28 |
| 47.87 | 19 |
| 53.23 | 12 |
| 56.27 | 13 |

Structure:
```
Sc2AlTe6
1.0
6.741 0.000 0.000
0.000 6.741 0.000
0.000 0.000 12.574
Sc Al Te
4 2 12
Direct
0.000 0.000 0.161
0.000 0.000 0.839
0.500 0.500 0.339
0.500 0.500 0.661
0.000 0.000 0.500
0.500 0.500 0.000
0.197 0.197 0.336
0.197 0.197 0.664
0.211 0.211 0.000
0.289 0.711 0.500
0.303 0.697 0.164
0.303 0.697 0.836
0.697 0.303 0.164
0.697 0.303 0.836
0.711 0.289 0.500
0.789 0.789 0.000
0.803 0.803 0.336
0.803 0.803 0.664
```

***

Entry 3:
# La3Pd4
Simulated powder diffractogram, Cu Kα (weighted mean of Kα1 and Kα2). Input: a cell relaxed with PBE.

Top 10 peaks for 15 to 90 degrees two-theta, in order of rising 2θ:
| two_theta | I/Imax |
| --- | --- |
| 33.14 | 54 |
| 33.21 | 100 |
| 33.64 | 30 |
| 35.23 | 27 |
| 35.29 | 24 |
| 37.69 | 28 |
| 40.89 | 38 |
| 44.44 | 31 |
| 49.16 | 16 |
| 74.64 | 16 |

Structure:
```
La3Pd4
1.0
2.039 -5.414 0.000
2.039 5.414 0.000
0.000 0.000 15.261
La Pd
6 8
Direct
0.068 0.932 0.750
0.340 0.660 0.595
0.340 0.660 0.905
0.660 0.340 0.095
0.660 0.340 0.405
0.932 0.068 0.250
0.000 0.000 0.000
0.000 0.000 0.500
0.208 0.792 0.250
0.377 0.623 0.105
0.377 0.623 0.395
0.623 0.377 0.605
0.623 0.377 0.895
0.792 0.208 0.750
```